1.
This entry pairs a crystal structure of KFe2P3O8F6 with its calculated X-ray powder pattern. Radiation: CuKα. Structure: a DFT-relaxed cell (GGA+U, the Materials Project).

Structural model:
a = 7.3511 Å, b = 7.7179 Å, c = 10.5889 Å
α = 101.27°, β = 110.28°, γ = 90.47°
Fractional positions:
K (0.2007, 0.4274, 0.1919)
K (0.7993, 0.5726, 0.8081)
Fe (0.0000, 0.5000, 0.5000)
Fe (0.3456, 0.1823, 0.6680)
Fe (0.5000, 0.0000, 0.0000)
Fe (0.6544, 0.8177, 0.3320)
P (0.0590, 0.0790, 0.8305)
P (0.3215, 0.5885, 0.8205)
P (0.3418, 0.7748, 0.4962)
P (0.6582, 0.2252, 0.5038)
P (0.6785, 0.4115, 0.1795)
P (0.9410, 0.9210, 0.1695)
O (0.1148, 0.1679, 0.7355)
O (0.1403, 0.6154, 0.7030)
O (0.1983, 0.6105, 0.4438)
O (0.2064, 0.0090, 0.9432)
O (0.2659, 0.9389, 0.5586)
O (0.4250, 0.7976, 0.3867)
O (0.4290, 0.4275, 0.7883)
O (0.4667, 0.7501, 0.8933)
O (0.5333, 0.2499, 0.1067)
O (0.5710, 0.5725, 0.2117)
O (0.5750, 0.2024, 0.6133)
O (0.7341, 0.0611, 0.4414)
O (0.7936, 0.9910, 0.0568)
O (0.8017, 0.3895, 0.5562)
O (0.8597, 0.3846, 0.2970)
O (0.8852, 0.8321, 0.2645)
F (0.0566, 0.7880, 0.0986)
F (0.1077, 0.0699, 0.2517)
F (0.1650, 0.2953, 0.5252)
F (0.2344, 0.5499, 0.9335)
F (0.4800, 0.2716, 0.3806)
F (0.4974, 0.0863, 0.8352)
F (0.5026, 0.9137, 0.1648)
F (0.5200, 0.7284, 0.6194)
F (0.7656, 0.4501, 0.0665)
F (0.8350, 0.7047, 0.4748)
F (0.8923, 0.9301, 0.7483)
F (0.9434, 0.2120, 0.9014)

Largest 10 diffraction maxima, sorted by position, 15° ≤ 2θ ≤ 90°:
d (Å)  2theta  intensity
5.427  16.3  29
3.675  24.2  19
3.431  26.0  43
3.373  26.4  100
3.289  27.1  84
3.232  27.6  34
3.212  27.8  62
2.767  32.3  24
2.628  34.1  18
2.614  34.3  18

---

2.
This entry pairs a crystal structure of KRb2FeF6 with its calculated X-ray powder pattern. Radiation: CuKα. Structure: a DFT-relaxed cell (GGA+U, the Materials Project).

Structural model:
a = 6.3851 Å, b = 6.3851 Å, c = 6.3851 Å
α = 60.00°, β = 60.00°, γ = 60.00°
Fractional positions:
K (0.0000, 0.0000, 0.0000)
Rb (0.2500, 0.2500, 0.2500)
Rb (0.7500, 0.7500, 0.7500)
Fe (0.5000, 0.5000, 0.5000)
F (0.2825, 0.2825, 0.7175)
F (0.2825, 0.7175, 0.2825)
F (0.2825, 0.7175, 0.7175)
F (0.7175, 0.2825, 0.2825)
F (0.7175, 0.2825, 0.7175)
F (0.7175, 0.7175, 0.2825)

Largest 10 diffraction maxima, sorted by position, 15° ≤ 2θ ≤ 90°:
d (Å)  2theta  intensity
5.213  17.0  7
3.193  27.9  100
2.607  34.4  22
2.257  39.9  46
1.843  49.4  36
1.596  57.8  26
1.428  65.4  20
1.361  69.0  6
1.303  72.5  8
1.207  79.4  21

---

Q: Number 1 is which compound?
A: KFe2P3O8F6